This entry pairs a crystal structure of Mn3Cr2SnP6O24 with its simulated powder XRD pattern. Radiation: Cu Kα. Structure: a structure optimized by DFT (PBE+U).
Lines closer than 0.1° are merged.

Cell and atoms:
abc: 8.7248 8.7248 20.5924
angles: 90.00 90.00 120.00
Space group R3 (No. 146, hexagonal axes)
Inequivalent atoms, fractional coordinates:
1 Mn 0.0000 0.0000 0.0000 x3
2 Mn 0.0000 0.0000 0.2047 x3
3 Mn 0.0000 0.0000 0.4976 x3
4 Cr 0.0000 0.0000 0.3517 x3
5 Cr 0.0000 0.0000 0.8551 x3
6 Sn 0.0000 0.0000 0.7061 x3
7 P 0.9996 0.3027 0.6015 x9
8 P 0.0043 0.7006 0.1022 x9
9 O 0.0010 0.8301 0.4234 x9
10 O 0.0074 0.1768 0.2817 x9
11 O 0.0073 0.8336 0.7798 x9
12 O 0.0147 0.7972 0.1641 x9
13 O 0.0163 0.2143 0.6639 x9
14 O 0.1293 0.6726 0.7072 x9
15 O 0.1343 0.4587 0.2080 x9
16 O 0.1648 0.4930 0.5911 x9

Principal peaks in the range 10° ≤ 2θ ≤ 80°, by angle:
two_theta, d/Å, I/Imax, (hkl)
20.36, 4.362, 99, 1 1 0
20.88, 4.254, 22, 1 0 4
24.17, 3.682, 100, 1 1 3
31.63, 2.829, 15, 2 1 1
33.21, 2.697, 81, 2 -1 6
35.65, 2.519, 52, 3 0 0
47.56, 1.912, 28, 1 2 8
49.51, 1.841, 33, 2 2 6
55.75, 1.649, 27, 4 1 0
62.49, 1.486, 29, 1 4 6